Structure and theoretical powder diffraction line list of RbZn4As3 (a PBE-relaxed structure; Cu Kα (λ = 1.5418 Å)).
Kinematic intensities with the Lorentz-polarization factor, no thermal factor.

Structural model:
```
data_RbZn4As3
_chemical_formula_sum 'Rb1 Zn4 As3'
_cell_length_a 4.201
_cell_length_b 4.201
_cell_length_c 10.520
_cell_angle_alpha 90.00
_cell_angle_beta 90.00
_cell_angle_gamma 90.00
_space_group_name_H-M_alt 'P 4/m m m'
_space_group_IT_number 123
_space_group_name_Hall '-P 4 2'
loop_
_atom_site_label
_atom_site_fract_x
_atom_site_fract_y
_atom_site_fract_z
Rb1 0.000 0.000 0.000
Zn1 0.000 0.500 0.341
As1 0.000 0.000 0.500
As2 0.500 0.500 0.208
```

The 10 most intense peaks (2θ = 15–90°), low angle first:
d/Å  2θ (°)  I/Imax
3.283  27.17  1000
2.859  31.29  326
2.267  39.77  592
2.101  43.06  588
1.969  46.10  481
1.769  51.66  328
1.485  62.53  192
1.346  69.88  136
1.242  76.71  157
1.186  81.10  175

***

Structure and theoretical powder diffraction line list of Rb4Zn7As7 (a PBE-relaxed structure; Cu Kα (λ = 1.5418 Å)).
Kinematic intensities with the Lorentz-polarization factor, no thermal factor.

Structural model:
```
data_Rb4Zn7As7
_chemical_formula_sum 'Rb16 Zn28 As28'
_cell_length_a 4.547
_cell_length_b 24.740
_cell_length_c 17.331
_cell_angle_alpha 90.00
_cell_angle_beta 90.00
_cell_angle_gamma 90.00
_space_group_name_H-M_alt 'C m c m'
_space_group_IT_number 63
_space_group_name_Hall '-C 2c 2'
loop_
_atom_site_label
_atom_site_fract_x
_atom_site_fract_y
_atom_site_fract_z
Rb1 0.000 0.000 0.000
Rb2 0.000 0.140 0.112
Rb3 0.000 0.287 0.250
Zn1 0.000 0.003 0.750
Zn2 0.000 0.148 0.609
Zn3 0.000 0.284 0.031
Zn4 0.000 0.426 0.171
As1 0.000 0.105 0.750
As2 0.000 0.249 0.605
As3 0.000 0.386 0.041
As4 0.000 0.472 0.680
```

The 10 most intense peaks (2θ = 15–90°), low angle first:
d/Å  2θ (°)  I/Imax
3.279  27.19  498
2.932  30.49  1000
2.791  32.07  668
2.427  37.05  292
2.273  39.65  790
2.166  41.70  259
2.148  42.06  375
1.950  46.59  361
1.828  49.89  242
1.562  59.16  291